Starting from a DFT-relaxed cell (PBE+U, Alexandria), the PXRD pattern of TaCr2CdO8 was computed for Cu Kα, 1.54184 Å.
Kinematic intensities with the Lorentz-polarization factor, no thermal factor.

Atomic structure:
```
data_TaCr2CdO8
_chemical_formula_sum 'Ta1 Cr2 Cd1 O8'
_cell_length_a 5.7757
_cell_length_b 5.7757
_cell_length_c 5.7757
_cell_angle_alpha 106.88
_cell_angle_beta 106.88
_cell_angle_gamma 114.78
_space_group_name_H-M_alt 'P 1'
_space_group_IT_number 1
_space_group_name_Hall 'P 1'
loop_
_atom_site_label
_atom_site_fract_x
_atom_site_fract_y
_atom_site_fract_z
Ta1 0.0000 0.0000 0.0000
Cr1 0.5000 0.5000 0.0000
Cr2 0.7500 0.2500 0.5000
Cd1 0.2500 0.7500 0.5000
O1 0.3066 0.1281 0.8215
O2 0.3066 0.4851 0.1785
O3 0.3668 0.0795 0.2874
O4 0.5149 0.6934 0.8215
O5 0.7921 0.0795 0.7126
O6 0.8719 0.6934 0.1785
O7 0.9205 0.2079 0.2874
O8 0.9205 0.6332 0.7126
```

Largest 10 diffraction maxima, in order of rising 2θ, 5 to 70 degrees two-theta:
2θ = 19.2°, I 452; 2θ = 25.9°, I 1000; 2θ = 32.5°, I 125; 2θ = 34.2°, I 755; 2θ = 37.0°, I 202; 2θ = 42.0°, I 132; 2θ = 51.2°, I 595; 2θ = 53.3°, I 213; 2θ = 60.1°, I 169; 2θ = 64.8°, I 169